For Rb2CrInBr6, a cell relaxed with GGA-PBE gives the simulated powder XRD pattern in this record (λ = 1.5418 Å (Cu Kα)).
Peak positions follow from Bragg's law for the DFT cell and can differ from measured ones.

Peak list (6 most intense, 2θ = 10–80°, in order of rising 2θ)
2theta	Rel. int.
15.8	25
22.4	28
27.6	68
31.9	100
45.8	67
76.0	24

Crystal structure
Lattice parameters (Å, degrees): 11.206 11.206 11.206 90.00 90.00 90.00
Space group Fm-3m (No. 225)
Inequivalent atoms, fractional coordinates:
Rb 0.250 0.250 0.250
Cr 0.000 0.000 0.000
In 0.000 0.000 0.500
Br 0.000 0.000 0.227

***

For Pr8In2Ir, a cell relaxed with GGA-PBE gives the simulated powder XRD pattern in this record (λ = 1.5418 Å (Cu Kα)).
Peak positions follow from Bragg's law for the DFT cell and can differ from measured ones.

Peak list (6 most intense, 2θ = 10–80°, in order of rising 2θ)
2theta	Rel. int.
31.0	32
31.5	40
33.5	100
57.4	21
60.6	22
60.9	12

Crystal structure
Lattice parameters (Å, degrees): 5.677 7.201 16.773 90.00 90.00 90.00
Space group Immm (No. 71)
Inequivalent atoms, fractional coordinates:
Pr 0.000 0.000 0.197
Pr 0.000 0.238 0.373
Pr 0.000 0.243 0.000
In 0.000 0.500 0.185
Ir 0.000 0.500 0.500

***

For La3Dy2Cd3, a cell relaxed with GGA-PBE gives the simulated powder XRD pattern in this record (λ = 1.5418 Å (Cu Kα)).
Peak positions follow from Bragg's law for the DFT cell and can differ from measured ones.

Peak list (6 most intense, 2θ = 10–80°, in order of rising 2θ)
2theta	Rel. int.
31.3	24
31.8	27
32.4	100
45.2	17
56.4	15
57.1	20

Crystal structure
Lattice parameters (Å, degrees): 3.810 5.624 22.889 90.00 90.00 90.00
Space group Immm (No. 71)
Inequivalent atoms, fractional coordinates:
La 0.000 0.000 0.000
La 0.000 0.500 0.124
Dy 0.000 0.000 0.235
Cd 0.000 0.000 0.500
Cd 0.000 0.500 0.376

***

For MgTl2In9, a cell relaxed with GGA-PBE gives the simulated powder XRD pattern in this record (λ = 1.5418 Å (Cu Kα)).
Peak positions follow from Bragg's law for the DFT cell and can differ from measured ones.

Peak list (6 most intense, 2θ = 10–80°, in order of rising 2θ)
2theta	Rel. int.
31.3	56
32.1	82
32.2	60
32.5	100
33.8	47
34.3	58

Crystal structure
Lattice parameters (Å, degrees): 13.455 6.337 9.408 90.00 123.95 90.00
Space group C2/m (No. 12)
Inequivalent atoms, fractional coordinates:
Mg 0.000 0.000 0.000
Tl 0.041 0.000 0.365
In 0.000 0.500 0.500
In 0.004 0.500 0.838
In 0.224 0.000 0.980
In 0.241 0.249 0.299

***

For Dy3BSe2, a cell relaxed with GGA-PBE gives the simulated powder XRD pattern in this record (λ = 1.5418 Å (Cu Kα)).
Peak positions follow from Bragg's law for the DFT cell and can differ from measured ones.

Peak list (6 most intense, 2θ = 10–80°, in order of rising 2θ)
2theta	Rel. int.
27.1	21
27.5	22
31.6	100
45.3	45
45.8	12
75.1	15

Crystal structure
Lattice parameters (Å, degrees): 8.079 11.325 23.774 90.00 90.00 90.00
Space group Fddd (No. 70, origin choice 2)
Inequivalent atoms, fractional coordinates:
Dy 0.091 0.375 0.375
Dy 0.110 0.359 0.215
B 0.125 0.125 0.041
Se 0.125 0.125 0.379
Se 0.125 0.125 0.545

***

For Ac8CdRh4, a cell relaxed with GGA-PBE gives the simulated powder XRD pattern in this record (λ = 1.5418 Å (Cu Kα)).
Peak positions follow from Bragg's law for the DFT cell and can differ from measured ones.

Peak list (6 most intense, 2θ = 10–80°, in order of rising 2θ)
2theta	Rel. int.
26.1	17
27.5	100
32.6	23
37.2	23
45.0	31
50.3	16

Crystal structure
Lattice parameters (Å, degrees): 20.514 4.383 14.503 90.00 134.96 90.00
Space group C2/m (No. 12)
Inequivalent atoms, fractional coordinates:
Ac 0.047 0.000 0.385
Ac 0.136 0.500 0.961
Ac 0.161 0.500 0.708
Ac 0.176 0.500 0.310
Cd 0.000 0.000 0.000
Rh 0.155 0.000 0.838
Rh 0.184 0.500 0.529

***

For SnHgMoHAu, a cell relaxed with GGA-PBE gives the simulated powder XRD pattern in this record (λ = 1.5418 Å (Cu Kα)).
Peak positions follow from Bragg's law for the DFT cell and can differ from measured ones.

Peak list (6 most intense, 2θ = 10–80°, in order of rising 2θ)
2theta	Rel. int.
30.6	37
32.6	35
37.1	100
37.6	29
38.7	40
40.1	70

Crystal structure
Lattice parameters (Å, degrees): 11.950 3.033 4.742 90.00 102.05 90.00
Space group Cm (No. 8)
Inequivalent atoms, fractional coordinates:
Sn 0.000 0.000 0.000
Hg 0.237 0.000 0.836
Mo 0.036 0.500 0.513
H 0.153 0.500 0.331
Au 0.325 0.500 0.381

***

For TaMo6, a cell relaxed with GGA-PBE gives the simulated powder XRD pattern in this record (λ = 1.5418 Å (Cu Kα)).
Peak positions follow from Bragg's law for the DFT cell and can differ from measured ones.

Peak list (6 most intense, 2θ = 10–80°, in order of rising 2θ)
2theta	Rel. int.
23.3	4
40.0	100
40.1	99
57.9	33
72.6	17
72.8	50

Crystal structure
Lattice parameters (Å, degrees): 4.4954 4.4954 19.3563 90.00 90.00 120.00
Space group R-3m (No. 166, hexagonal axes)
Inequivalent atoms, fractional coordinates:
Ta 0.0000 0.0000 0.0000
Mo 0.0000 0.0000 0.1440
Mo 0.0000 0.0000 0.2844
Mo 0.0000 0.0000 0.4285